[1]
This entry pairs a crystal structure of La2Hg2Se2O3 with its theoretical powder diffractogram. Radiation: CuKα. Structure: a crystal structure in OQMD, relaxed with GGA-PBE.
Kinematic intensities with the Lorentz-polarization factor, no thermal factor.

Crystal structure
Lattice parameters (Å, degrees): 9.6169 9.6169 9.6169 153.41 153.41 37.96
Positions (direct):
1 La 0.1933 0.1933 0.0000
2 La 0.8067 0.8067 0.0000
3 Hg 0.0000 0.5000 0.5000
4 Hg 0.5000 0.0000 0.5000
5 Se 0.3888 0.3888 0.0000
6 Se 0.6112 0.6112 0.0000
7 O 0.0000 0.0000 0.0000
8 O 0.2500 0.7500 0.5000
9 O 0.7500 0.2500 0.5000

Largest 8 diffraction maxima, sorted by position, 2θ = 15–90°:
2θ/deg  intensity
19.52  30
30.21  100
31.85  59
34.81  69
40.80  62
49.57  31
52.67  28
66.56  22

***

[2]
This entry pairs a crystal structure of K3AgO2 with its theoretical powder diffractogram. Radiation: CuKα. Structure: a crystal structure in OQMD, relaxed with GGA-PBE.
Kinematic intensities with the Lorentz-polarization factor, no thermal factor.

Crystal structure
Lattice parameters (Å, degrees): 6.3197 6.3197 6.8518 90.00 90.00 90.00
Positions (direct):
1 K 0.0000 0.0000 0.0000
2 K 0.0000 0.5000 0.2500
3 K 0.0000 0.5000 0.7500
4 K 0.5000 0.0000 0.2500
5 K 0.5000 0.0000 0.7500
6 K 0.5000 0.5000 0.5000
7 Ag 0.0000 0.0000 0.5000
8 Ag 0.5000 0.5000 0.0000
9 O 0.2264 0.2264 0.5000
10 O 0.2736 0.7264 0.0000
11 O 0.7264 0.2736 0.0000
12 O 0.7736 0.7736 0.5000

Largest 8 diffraction maxima, sorted by position, 2θ = 15–90°:
2θ/deg  intensity
19.11  40
19.87  16
28.24  56
32.94  100
34.32  15
40.37  35
53.05  45
69.10  12